For OsPbWO6, the PBE+U geometry in Alexandria gives the simulated PXRD pattern in this record (Cu Kα (weighted mean of Kα1 and Kα2)).

Peak list (6 most intense, 2θ = 10–90°, by intensity)
two_theta  I (rel.)
28.60  100.0
29.98  90.7
14.71  48.2
28.84  37.2
28.09  34.4
37.54  32.4

Structure:
Cell: 7.3758 7.3758 7.3758 Å, 121.42 120.43 88.41°
Positions (direct):
Os 0.5000 0.0000 0.0000
Os 0.5000 0.5000 0.5000
Pb 0.2149 0.4649 0.7500
Pb 0.7851 0.5351 0.2500
W 0.0000 0.0000 0.0000
W 0.5000 0.0000 0.5000
O 0.1839 0.3133 0.2601
O 0.1839 0.9238 0.8706
O 0.1860 0.9360 0.2500
O 0.4290 0.6790 0.7500
O 0.4468 0.0762 0.7601
O 0.4468 0.6867 0.3706
O 0.5532 0.3133 0.6294
O 0.5532 0.9238 0.2399
O 0.5710 0.3210 0.2500
O 0.8140 0.0640 0.7500
O 0.8161 0.0762 0.1294
O 0.8161 0.6867 0.7399